K2BaV2ClO7: simulated powder X-ray diffraction pattern (Cu Kα (weighted mean of Kα1 and Kα2)), based on a DFT-relaxed cell (GGA+U, Alexandria).
Kinematic intensities with the Lorentz-polarization factor, no thermal factor.

The 8 most intense peaks (2θ = 10–90°), in order of rising 2θ:
d_spacing	Rel. int.
7.761	24
4.856	36
3.636	35
3.091	83
2.951	100
2.759	27
2.292	40
1.730	24

Atomic structure:
Cell lengths 5.9029, 5.9029, 15.5212 Å; angles 90.00, 90.00, 120.00 degrees
Fractional coordinates of all 26 atoms:
1 K 0.3333 0.6667 0.0435
2 K 0.3333 0.6667 0.4565
3 K 0.6667 0.3333 0.5435
4 K 0.6667 0.3333 0.9565
5 Ba 0.3333 0.6667 0.7500
6 Ba 0.6667 0.3333 0.2500
7 V 0.0000 0.0000 0.1334
8 V 0.0000 0.0000 0.3666
9 V 0.0000 0.0000 0.6334
10 V 0.0000 0.0000 0.8666
11 Cl 0.3333 0.6667 0.2500
12 Cl 0.6667 0.3333 0.7500
13 O 0.0000 0.0000 0.2500
14 O 0.0000 0.0000 0.7500
15 O 0.1595 0.3190 0.5989
16 O 0.1595 0.3190 0.9011
17 O 0.1595 0.8405 0.5989
18 O 0.1595 0.8405 0.9011
19 O 0.3190 0.1595 0.0989
20 O 0.3190 0.1595 0.4011
21 O 0.6810 0.8405 0.5989
22 O 0.6810 0.8405 0.9011
23 O 0.8405 0.1595 0.0989
24 O 0.8405 0.1595 0.4011
25 O 0.8405 0.6810 0.0989
26 O 0.8405 0.6810 0.4011